Starting from a cell relaxed with GGA-PBE, the powder diffraction line list of TaCrSb was computed for CuKα.

Peak list (10 most intense, 15° ≤ 2θ ≤ 90°, in order of falling intensity)
2θ (°)  d [Å]  I_rel
40.02  2.253  100
38.07  2.364  59
70.10  1.342  37
28.43  3.140  29
54.93  1.671  20
73.97  1.281  14
86.36  1.127  10
19.40  4.575  10
55.94  1.644  8
63.00  1.475  7

Crystal structure
Cell lengths 5.1495, 5.1495, 5.1495 Å; angles 142.12, 142.12, 54.65 degrees
Fractional positions:
Ta  0.0000  0.0000  0.0000
Cr  0.3526  0.3526  0.0000
Sb  0.6851  0.6851  0.0000



Starting from a cell relaxed with GGA-PBE, the powder diffraction line list of CrSb2Te was computed for CuKα.

Peak list (10 most intense, 15° ≤ 2θ ≤ 90°, in order of falling intensity)
2θ (°)  d [Å]  I_rel
30.65  2.917  100
48.95  1.861  33
38.31  2.349  25
46.00  1.973  23
32.21  2.779  23
36.07  2.490  19
72.43  1.305  15
58.87  1.569  15
29.28  3.050  12
80.00  1.199  12

Crystal structure
Cell lengths 9.3995, 9.3995, 9.3995 Å; angles 22.83, 22.83, 22.83 degrees
Fractional positions:
Cr  0.0000  0.0000  0.0000
Sb  0.4825  0.4825  0.4825
Sb  0.7373  0.7373  0.7373
Te  0.2773  0.2773  0.2773



Starting from a cell relaxed with GGA-PBE, the powder diffraction line list of Cr10Sb3Te7 was computed for CuKα.

Peak list (10 most intense, 15° ≤ 2θ ≤ 90°, in order of falling intensity)
2θ (°)  d [Å]  I_rel
29.12  3.066  100
39.02  2.309  53
29.32  3.046  50
44.18  2.050  43
39.27  2.294  26
44.46  2.038  21
60.37  1.533  13
53.90  1.701  13
78.30  1.221  11
29.46  3.032  10

Crystal structure
Cell lengths 7.3332, 7.3332, 10.1216 Å; angles 105.52, 105.52, 58.05 degrees
Fractional positions:
Cr  0.0060  0.0060  0.2557
Cr  0.1966  0.1953  0.1482
Cr  0.1978  0.1909  0.6464
Cr  0.4012  0.3905  0.0518
Cr  0.4098  0.3900  0.5565
Cr  0.6100  0.5902  0.4435
Cr  0.6095  0.5988  0.9482
Cr  0.8047  0.8034  0.8518
Cr  0.8091  0.8022  0.3536
Cr  0.9940  0.9940  0.7443
Sb  0.0399  0.3733  0.4024
Sb  0.6267  0.9601  0.5976
Sb  0.8294  0.1706  0.0000
Te  0.1743  0.8257  0.5000
Te  0.2362  0.5649  0.8026
Te  0.3644  0.0308  0.8984
Te  0.4351  0.7638  0.1974
Te  0.5657  0.2271  0.3038
Te  0.7729  0.4343  0.6962
Te  0.9692  0.6356  0.1016



Starting from a cell relaxed with GGA-PBE, the powder diffraction line list of Ti12CrSb6 was computed for CuKα.

Peak list (10 most intense, 15° ≤ 2θ ≤ 90°, in order of falling intensity)
2θ (°)  d [Å]  I_rel
36.96  2.432  100
43.30  2.090  89
25.15  3.542  83
30.88  2.895  73
26.65  3.344  57
33.48  2.677  44
38.07  2.364  42
48.98  1.860  33
54.15  1.694  28
41.29  2.187  28

Crystal structure
Cell lengths 7.4680, 7.4680, 7.4680 Å; angles 101.45, 101.45, 101.45 degrees
Fractional positions:
Ti  0.0099  0.3161  0.0498
Ti  0.0498  0.0099  0.3161
Ti  0.2184  0.3971  0.5084
Ti  0.3161  0.0498  0.0099
Ti  0.3971  0.5084  0.2185
Ti  0.4916  0.7816  0.6029
Ti  0.5084  0.2185  0.3971
Ti  0.6029  0.4916  0.7815
Ti  0.6839  0.9502  0.9901
Ti  0.7815  0.6029  0.4916
Ti  0.9502  0.9901  0.6839
Ti  0.9901  0.6839  0.9502
Cr  0.0000  0.0000  0.0000
Sb  0.1083  0.6635  0.3385
Sb  0.3365  0.6615  0.8917
Sb  0.3385  0.1083  0.6635
Sb  0.6615  0.8917  0.3365
Sb  0.6635  0.3385  0.1083
Sb  0.8917  0.3365  0.6615



Starting from a cell relaxed with GGA-PBE, the powder diffraction line list of YCrSb3 was computed for CuKα.

Peak list (10 most intense, 15° ≤ 2θ ≤ 90°, in order of falling intensity)
2θ (°)  d [Å]  I_rel
30.03  2.976  100
34.81  2.577  82
50.05  1.822  57
59.47  1.554  42
83.95  1.153  25
62.41  1.488  19
81.37  1.183  17
17.20  5.155  13
73.49  1.289  9
39.07  2.305  6

Crystal structure
Cell lengths 5.1548, 5.1548, 5.1548 Å; angles 90.00, 90.00, 90.00 degrees
Fractional positions:
Y  0.0000  0.0000  0.0000
Cr  0.5000  0.5000  0.5000
Sb  0.0000  0.5000  0.5000
Sb  0.5000  0.0000  0.5000
Sb  0.5000  0.5000  0.0000



Starting from a cell relaxed with GGA-PBE, the powder diffraction line list of Zr10CrSb5 was computed for CuKα.

Peak list (10 most intense, 15° ≤ 2θ ≤ 90°, in order of falling intensity)
2θ (°)  d [Å]  I_rel
36.80  2.442  100
35.85  2.505  43
35.98  2.496  40
33.01  2.714  38
39.53  2.280  25
60.34  1.534  23
32.10  2.788  20
69.22  1.357  20
58.28  1.583  17
33.96  2.640  14

Crystal structure
Cell lengths 8.3968, 8.3968, 8.3968 Å; angles 96.33, 96.33, 141.22 degrees
Fractional positions:
Zr  0.0000  0.5000  0.5000
Zr  0.0254  0.1630  0.7098
Zr  0.1630  0.4531  0.1376
Zr  0.3156  0.0254  0.8624
Zr  0.4531  0.3156  0.2902
Zr  0.5000  0.0000  0.5000
Zr  0.5469  0.8370  0.8624
Zr  0.6844  0.5469  0.7098
Zr  0.8370  0.9746  0.2902
Zr  0.9746  0.6844  0.1376
Cr  0.0000  0.0000  0.0000
Sb  0.0866  0.9134  0.5000
Sb  0.4134  0.5866  0.5000
Sb  0.5000  0.5000  0.0000
Sb  0.5866  0.0866  0.1733
Sb  0.9134  0.4134  0.8267



Starting from a cell relaxed with GGA-PBE, the powder diffraction line list of Sc3Cr was computed for CuKα.

Peak list (10 most intense, 15° ≤ 2θ ≤ 90°, in order of falling intensity)
2θ (°)  d [Å]  I_rel
34.77  2.580  100
40.91  2.206  56
36.57  2.457  23
58.01  1.590  20
70.55  1.335  16
69.45  1.353  13
60.44  1.532  11
73.40  1.290  8
47.32  1.921  5
39.08  2.305  5

Crystal structure
Cell lengths 9.9991, 9.9991, 9.9991 Å; angles 18.30, 18.30, 18.30 degrees
Fractional positions:
Sc  0.0000  0.0000  0.0000
Sc  0.2401  0.2401  0.2401
Sc  0.7599  0.7599  0.7599
Cr  0.5000  0.5000  0.5000



Starting from a cell relaxed with GGA-PBE, the powder diffraction line list of ScCr2 was computed for CuKα.

Peak list (10 most intense, 15° ≤ 2θ ≤ 90°, in order of falling intensity)
2θ (°)  d [Å]  I_rel
40.57  2.224  100
37.69  2.387  81
41.23  2.190  61
39.51  2.281  52
47.55  1.912  35
64.73  1.440  25
39.28  2.293  23
19.35  4.587  22
54.24  1.691  19
74.71  1.271  14

Crystal structure
Cell lengths 5.6931, 4.3791, 7.7434 Å; angles 90.00, 90.00, 90.00 degrees
Fractional positions:
Sc  0.1618  0.2500  0.0888
Sc  0.3382  0.7500  0.5888
Sc  0.6618  0.2500  0.4112
Sc  0.8382  0.7500  0.9112
Cr  0.0241  0.2500  0.7078
Cr  0.1452  0.2500  0.4278
Cr  0.3548  0.7500  0.9278
Cr  0.4759  0.7500  0.2078
Cr  0.5241  0.2500  0.7922
Cr  0.6452  0.2500  0.0722
Cr  0.8548  0.7500  0.5722
Cr  0.9759  0.7500  0.2922